(1)
For Cs2Hg16Bi, a structure optimized by DFT (PBE) gives the computed X-ray diffraction stick pattern in this record (Cu Kα, 1.54184 Å).

Largest 10 diffraction maxima, by angle, 10 to 90 degrees two-theta:
2θ/deg	d/Å	I (rel.)
10.6	8.372	15
16.0	5.546	12
27.9	3.196	43
31.4	2.847	28
32.1	2.789	100
32.3	2.772	48
35.4	2.533	23
36.0	2.493	71
56.4	1.633	18
57.5	1.602	22

Structural model:
Cell: 11.0913 11.0913 17.0809 Å, 90.00 90.00 120.00°
Space group R3m (No. 160, hexagonal axes)
Asymmetric unit:
Cs 0.0000 0.0000 0.0000 [3 per cell]
Cs 0.0000 0.0000 0.3279 [3 per cell]
Hg 0.0000 0.0000 0.7706 [3 per cell]
Hg 0.0144 0.5072 0.5241 [9 per cell]
Hg 0.0211 0.5106 0.1663 [9 per cell]
Hg 0.0308 0.5154 0.8194 [9 per cell]
Hg 0.0426 0.3748 0.3365 [18 per cell]
Bi 0.0000 0.0000 0.5738 [3 per cell]

=====

(2)
For RbLiLa2, a structure optimized by DFT (PBE) gives the computed X-ray diffraction stick pattern in this record (Cu Kα, 1.54184 Å).

Largest 10 diffraction maxima, by angle, 10 to 90 degrees two-theta:
2θ/deg	d/Å	I (rel.)
18.3	4.840	11
21.2	4.192	30
30.2	2.964	100
37.2	2.420	9
43.2	2.096	19
48.6	1.875	13
53.6	1.711	39
62.7	1.482	12
71.1	1.326	17
87.0	1.120	20

Structural model:
Cell: 8.383 8.383 8.383 Å, 90.00 90.00 90.00°
Space group Fm-3m (No. 225)
Asymmetric unit:
Rb 0.000 0.000 0.000 [4 per cell]
Li 0.000 0.000 0.500 [4 per cell]
La 0.250 0.250 0.250 [8 per cell]

=====

(3)
For K5NaS4Cl2O12, a structure optimized by DFT (PBE) gives the computed X-ray diffraction stick pattern in this record (Cu Kα, 1.54184 Å).

Largest 10 diffraction maxima, by angle, 10 to 90 degrees two-theta:
2θ/deg	d/Å	I (rel.)
20.9	4.257	42
25.4	3.503	63
27.4	3.251	99
30.4	2.942	47
32.4	2.760	100
32.8	2.731	20
37.2	2.419	37
38.3	2.349	21
42.5	2.129	22
45.0	2.013	23

Structural model:
Cell: 8.721 8.721 11.768 Å, 90.00 90.00 90.00°
Space group P4/mnc (No. 128)
Asymmetric unit:
K 0.000 0.000 0.000 [2 per cell]
K 0.191 0.309 0.250 [8 per cell]
Na 0.000 0.000 0.500 [2 per cell]
S 0.075 0.600 0.500 [8 per cell]
Cl 0.000 0.000 0.264 [4 per cell]
O 0.033 0.271 0.500 [8 per cell]
O 0.085 0.667 0.105 [16 per cell]

=====

(4)
For Hf5Sb4H, a structure optimized by DFT (PBE) gives the computed X-ray diffraction stick pattern in this record (Cu Kα, 1.54184 Å).

Largest 10 diffraction maxima, by angle, 10 to 90 degrees two-theta:
2θ/deg	d/Å	I (rel.)
27.4	3.255	21
31.1	2.878	46
32.1	2.790	100
34.3	2.618	31
40.0	2.252	30
42.7	2.115	17
45.3	2.003	76
46.0	1.973	24
66.5	1.407	16
70.2	1.340	21

Structural model:
Cell: 8.824 8.824 5.755 Å, 90.00 90.00 90.00°
Space group I4 (No. 79)
Asymmetric unit:
Hf 0.000 0.000 0.000 [2 per cell]
Hf 0.095 0.754 0.650 [8 per cell]
Sb 0.077 0.691 0.149 [8 per cell]
H 0.000 0.000 0.650 [2 per cell]

=====

Which formula does entry 3 have?
K5NaS4Cl2O12

=====

Repeat the first record exactly.
For Cs2Hg16Bi, a structure optimized by DFT (PBE) gives the computed X-ray diffraction stick pattern in this record (Cu Kα, 1.54184 Å).

Largest 10 diffraction maxima, by angle, 10 to 90 degrees two-theta:
2θ/deg	d/Å	I (rel.)
10.6	8.372	15
16.0	5.546	12
27.9	3.196	43
31.4	2.847	28
32.1	2.789	100
32.3	2.772	48
35.4	2.533	23
36.0	2.493	71
56.4	1.633	18
57.5	1.602	22

Structural model:
Cell: 11.0913 11.0913 17.0809 Å, 90.00 90.00 120.00°
Space group R3m (No. 160, hexagonal axes)
Asymmetric unit:
Cs 0.0000 0.0000 0.0000 [3 per cell]
Cs 0.0000 0.0000 0.3279 [3 per cell]
Hg 0.0000 0.0000 0.7706 [3 per cell]
Hg 0.0144 0.5072 0.5241 [9 per cell]
Hg 0.0211 0.5106 0.1663 [9 per cell]
Hg 0.0308 0.5154 0.8194 [9 per cell]
Hg 0.0426 0.3748 0.3365 [18 per cell]
Bi 0.0000 0.0000 0.5738 [3 per cell]